# AuSeCl7
Simulated powder XRD pattern, Cu Kα. Input: DFT lattice parameters and positions (GGA-PBE).
No peak broadening, texture or thermal motion is included.

Crystal structure
```
AuSeCl7
1.0
9.3186 0.0000 0.0000
0.0000 10.6412 0.0000
-3.6990 0.0000 12.7732
Au Se Cl
4 4 28
Cartesian
1.8090 0.9745 0.3431
-0.0405 4.3462 6.7297
5.6602 6.2951 6.0434
3.8107 9.6668 12.4300
-1.6222 7.7632 12.5350
0.2273 8.1987 6.1484
5.3924 2.4426 6.6247
7.2419 2.8781 0.2382
-1.1224 2.6384 5.5910
-2.9719 2.6822 11.9776
-2.4123 6.5470 10.8832
-0.5628 9.4149 4.4966
-0.3126 5.7275 4.8522
-2.1621 10.2344 11.2387
2.3271 6.1993 1.2962
0.4777 9.7626 7.6828
2.1764 2.3619 2.1402
0.3269 2.9587 8.5268
0.9708 6.0834 7.9081
2.8203 9.8785 1.5215
0.4532 7.8063 11.8030
2.3027 8.1556 5.4165
3.3170 2.4856 7.3567
5.1665 2.8350 0.9701
2.7993 0.7627 11.2517
4.6488 4.5579 4.8651
5.2928 7.6825 4.2464
3.4433 8.2794 10.6330
5.1420 0.8787 5.0904
3.2925 4.4419 11.4770
7.7818 0.4068 1.5344
5.9323 4.9138 7.9210
6.1825 1.2264 8.2766
8.0320 4.0942 1.8900
8.5915 7.9590 0.7956
6.7420 8.0029 7.1822
```

Principal peaks in the range 10° ≤ 2θ ≤ 90°, low angle first:
- 2θ = 10.82°, I 94
- 2θ = 13.87°, I 100
- 2θ = 19.67°, I 46
- 2θ = 19.84°, I 29
- 2θ = 20.84°, I 56
- 2θ = 21.55°, I 37
- 2θ = 22.48°, I 22
- 2θ = 29.30°, I 25
- 2θ = 31.79°, I 54
- 2θ = 41.32°, I 21

=====

# CaZn2P2O8
Simulated powder XRD pattern, Cu Kα. Input: DFT lattice parameters and positions (GGA-PBE).
No peak broadening, texture or thermal motion is included.

Crystal structure
```
CaZn2P2O8
1.0
5.0418 0.0000 0.0000
-0.6045 8.5138 0.0000
-1.9229 -3.7661 8.0428
Ca Zn P O
2 4 4 16
Cartesian
0.8892 1.7806 0.4216
1.6251 2.9672 7.6212
-0.8285 0.8653 5.7233
1.0700 -0.6135 3.3013
1.4443 5.3612 4.7415
3.3428 3.8824 2.3195
-1.2618 4.0213 5.6087
0.8371 5.3461 1.4673
1.6772 -0.5984 6.5754
3.7761 0.7264 2.4341
-0.6866 5.1537 1.1921
-0.7591 2.1838 2.2892
-1.9734 4.8606 6.6912
-0.7418 0.1488 3.8168
1.4251 6.2553 0.4019
0.2891 4.0596 5.6701
0.9733 6.0308 2.8832
1.5112 3.9473 1.6015
1.0031 0.8005 6.4413
1.5410 -1.2831 5.1596
2.2252 0.6882 2.3726
1.0892 -1.5076 7.6409
3.2561 4.5989 4.2259
4.4877 -0.1129 1.3516
3.2734 2.5639 5.7535
3.2009 -0.4059 6.8507
```

Principal peaks in the range 10° ≤ 2θ ≤ 90°, low angle first:
- 2θ = 20.91°, I 41
- 2θ = 21.19°, I 100
- 2θ = 22.80°, I 36
- 2θ = 23.29°, I 44
- 2θ = 29.07°, I 69
- 2θ = 29.42°, I 37
- 2θ = 29.64°, I 82
- 2θ = 29.82°, I 61
- 2θ = 31.66°, I 37
- 2θ = 35.74°, I 62

=====

# Sr2Cu5Ge4
Simulated powder XRD pattern, Cu Kα. Input: DFT lattice parameters and positions (GGA-PBE).
No peak broadening, texture or thermal motion is included.

Crystal structure
```
Sr2Cu5Ge4
1.0
0.0000 5.1205 7.1962
2.8510 0.0000 7.1962
2.8510 5.1205 0.0000
Sr Cu Ge
2 5 4
Cartesian
2.8510 5.1205 2.0546
2.8510 5.1205 12.3377
1.4255 2.5603 0.0000
1.4255 2.5603 3.5981
1.4255 2.5603 7.1962
2.8510 5.1205 7.1962
4.2765 7.6808 10.7942
2.8510 3.5298 5.3582
2.8510 3.5298 9.0341
2.8510 6.7112 5.3582
2.8510 6.7112 9.0341
```

Principal peaks in the range 10° ≤ 2θ ≤ 90°, low angle first:
- 2θ = 30.36°, I 26
- 2θ = 31.16°, I 44
- 2θ = 35.92°, I 100
- 2θ = 36.06°, I 42
- 2θ = 40.36°, I 80
- 2θ = 43.38°, I 24
- 2θ = 44.11°, I 25
- 2θ = 44.22°, I 24
- 2θ = 50.75°, I 26
- 2θ = 63.53°, I 28

=====

Which formula does entry 2 have? CaZn2P2O8